# TaGaSi2Ir
Simulated powder X-ray diffraction pattern, CuKα. Input: DFT lattice parameters and positions (PBE).

Top 10 peaks for 2θ = 15–90°, in order of rising 2θ:
2θ 19.79, intensity 100, (1 0 0)
2θ 28.13, intensity 73, (1 1 0)
2θ 34.65, intensity 36, (0 0 2)
2θ 40.21, intensity 81, (2 0 0)
2θ 45.20, intensity 65, (1 1 2)
2θ 54.10, intensity 40, (2 0 2)
2θ 58.16, intensity 40, (2 2 0)
2θ 69.50, intensity 19, (2 2 2)
2θ 76.58, intensity 28, (3 1 2)
2θ 86.86, intensity 24, (4 0 0)

Structural model:
```
data_TaGaSi2Ir
_cell_length_a 4.487
_cell_length_b 4.487
_cell_length_c 5.177
_cell_angle_alpha 90.00
_cell_angle_beta 90.00
_cell_angle_gamma 90.00
_space_group_name_H-M_alt 'P 4/m m m'
_space_group_IT_number 123
_space_group_name_Hall '-P 4 2'
loop_
_atom_site_label
_atom_site_type_symbol
_atom_site_fract_x
_atom_site_fract_y
_atom_site_fract_z
Ta1 Ta 0.000 0.000 0.000
Ga1 Ga 0.500 0.500 0.000
Si1 Si 0.000 0.500 0.500
Ir1 Ir 0.000 0.000 0.500
```